Theoretical powder XRD pattern
Compound: Ce3Tl2Hg3
Radiation: Cu Kα (λ = 1.5418 Å)
Structure: DFT lattice parameters and positions (PBE)
Intensities are scaled so that the largest is 100.

Largest 8 diffraction maxima, low angle first, 10 to 80 degrees two-theta:
| hkl | two_theta | I_rel |
| --- | --- | --- |
| 2 0 0 | 23.4 | 15 |
| 1 1 1 | 33.2 | 100 |
| 3 0 0 | 35.5 | 91 |
| 3 0 1 | 44.6 | 15 |
| 2 2 1 | 49.4 | 30 |
| 4 1 1 | 62.3 | 29 |
| 3 0 2 | 66.0 | 31 |
| 6 0 0 | 75.1 | 15 |

Structure:
Cell: 8.7638 8.7638 3.4186 Å, 90.00 90.00 120.00°
Space group P-62m (No. 189)
Symmetry-distinct sites (fractional):
Ce 0.0000 0.6745 0.0000 [3 per cell]
Tl 0.3333 0.6667 0.5000 [2 per cell]
Hg 0.0000 0.3052 0.5000 [3 per cell]